The following is a calculated powder diffraction line list of HfTl5Se5. It was derived from a structure optimized by DFT (PBE), using copper Kα.
Kinematic intensities with the Lorentz-polarization factor, no thermal factor.

Largest 10 diffraction maxima, most intense first, 2θ = 10–80°:
- 32.2°, 2.778 Å, intensity 100
- 30.7°, 2.911 Å, intensity 62
- 26.0°, 3.425 Å, intensity 59
- 30.4°, 2.938 Å, intensity 53
- 48.3°, 1.886 Å, intensity 47
- 34.7°, 2.583 Å, intensity 44
- 34.9°, 2.571 Å, intensity 42
- 24.9°, 3.576 Å, intensity 38
- 23.6°, 3.773 Å, intensity 37
- 44.9°, 2.018 Å, intensity 37

Structural model:
a b c (Å): 8.294 8.294 8.836
angles (deg): 114.62 114.62 39.13
Sites, in units of the cell vectors:
Hf  0.000  0.000  0.000
Tl  0.000  0.000  0.500
Tl  0.289  0.289  0.725
Tl  0.382  0.382  0.219
Tl  0.618  0.618  0.781
Tl  0.711  0.711  0.275
Se  0.123  0.123  0.326
Se  0.154  0.154  0.945
Se  0.500  0.500  0.000
Se  0.846  0.846  0.055
Se  0.877  0.877  0.674